Diffraction record for AcCeH6Ru2. The X-ray powder pattern is calculated, not measured: it uses a structure optimized by DFT (PBE) and λ = 1.5418 Å (Cu Kα).
Kinematic intensities with the Lorentz-polarization factor, no thermal factor.

Crystal structure
Cell lengths 6.7334, 6.7334, 6.7334 Å; angles 41.07, 41.07, 41.07 degrees
Fractional coordinates of all 10 atoms:
Ac 0.0000 0.0000 0.0000
Ce 0.5000 0.5000 0.5000
H 0.0534 0.5667 0.5667
H 0.4333 0.4333 0.9466
H 0.4333 0.9466 0.4333
H 0.5667 0.0534 0.5667
H 0.5667 0.5667 0.0534
H 0.9466 0.4333 0.4333
Ru 0.2125 0.2125 0.2125
Ru 0.7875 0.7875 0.7875

Principal peaks in the range 5 to 70 degrees two-theta, sorted by position:
d (Å)  I (rel.)
3.740  20.4
3.062  100.0
2.742  23.9
2.362  67.2
1.874  23.2
1.870  24.4
1.683  19.4
1.466  22.1